Entry 1:
YNbRu2: computed powder diffraction line list (Cu Ka), based on DFT lattice parameters and positions (GGA-PBE).

Crystal structure
a b c (Å): 6.571 6.571 6.571
angles (deg): 90.00 90.00 90.00
Space group Fm-3m (No. 225)
One atom of each set of equivalent atoms:
Y  0.000  0.000  0.000 [4 per cell]
Nb  0.000  0.000  0.500 [4 per cell]
Ru  0.250  0.250  0.250 [8 per cell]

Principal peaks in the range 2θ from 10° to 90°, low angle first:
d = 2.323 Å, rel. 100
d = 1.643 Å, rel. 17
d = 1.341 Å, rel. 33
d = 1.162 Å, rel. 10


Entry 2:
NbS2: computed powder diffraction line list (Cu Ka), based on DFT lattice parameters and positions (GGA-PBE).

Crystal structure
a b c (Å): 3.356 22.979 5.815
angles (deg): 90.00 90.00 90.00
Space group Fmm2 (No. 42)
One atom of each set of equivalent atoms:
Nb  0.000  0.000  0.000 [4 per cell]
S  0.000  0.068  0.333 [8 per cell]

Principal peaks in the range 2θ from 10° to 90°, low angle first:
d = 5.745 Å, rel. 100
d = 2.883 Å, rel. 69
d = 2.717 Å, rel. 64
d = 2.594 Å, rel. 37
d = 2.456 Å, rel. 86
d = 2.316 Å, rel. 46
d = 2.176 Å, rel. 84
d = 2.043 Å, rel. 34
d = 1.918 Å, rel. 58
d = 1.674 Å, rel. 44


Entry 3:
NbS2: computed powder diffraction line list (Cu Ka), based on DFT lattice parameters and positions (GGA-PBE).

Crystal structure
a b c (Å): 3.3628 3.3628 13.2490
angles (deg): 90.00 90.00 120.00
Space group P6_3/mmc (No. 194)
One atom of each set of equivalent atoms:
Nb  0.0000  0.0000  0.2500 [2 per cell]
S  0.3333  0.6667  0.1318 [4 per cell]

Principal peaks in the range 2θ from 10° to 90°, low angle first:
d = 6.624 Å, rel. 100
d = 2.912 Å, rel. 15
d = 2.844 Å, rel. 13
d = 2.666 Å, rel. 52
d = 2.187 Å, rel. 55
d = 1.760 Å, rel. 18
d = 1.681 Å, rel. 18
d = 1.630 Å, rel. 13
d = 1.333 Å, rel. 10
d = 1.180 Å, rel. 11


Entry 4:
Nb3S4: computed powder diffraction line list (Cu Ka), based on DFT lattice parameters and positions (GGA-PBE).

Crystal structure
a b c (Å): 3.3111 3.3111 13.1069
angles (deg): 90.00 90.00 120.00
Space group P-3m1 (No. 164)
One atom of each set of equivalent atoms:
Nb  0.0000  0.0000  0.0000 [1 per cell]
Nb  0.0000  0.0000  0.2547 [2 per cell]
S  0.3333  0.6667  0.6246 [2 per cell]
S  0.3333  0.6667  0.8713 [2 per cell]

Principal peaks in the range 2θ from 10° to 90°, low angle first:
d = 6.553 Å, rel. 23
d = 4.369 Å, rel. 11
d = 2.867 Å, rel. 45
d = 2.801 Å, rel. 26
d = 2.626 Å, rel. 14
d = 2.397 Å, rel. 21
d = 2.158 Å, rel. 100
d = 1.656 Å, rel. 30
d = 1.314 Å, rel. 19
d = 1.165 Å, rel. 18


Repeat the third record exactly.
NbS2: computed powder diffraction line list (Cu Ka), based on DFT lattice parameters and positions (GGA-PBE).

Crystal structure
a b c (Å): 3.3628 3.3628 13.2490
angles (deg): 90.00 90.00 120.00
Space group P6_3/mmc (No. 194)
One atom of each set of equivalent atoms:
Nb  0.0000  0.0000  0.2500 [2 per cell]
S  0.3333  0.6667  0.1318 [4 per cell]

Principal peaks in the range 2θ from 10° to 90°, low angle first:
d = 6.624 Å, rel. 100
d = 2.912 Å, rel. 15
d = 2.844 Å, rel. 13
d = 2.666 Å, rel. 52
d = 2.187 Å, rel. 55
d = 1.760 Å, rel. 18
d = 1.681 Å, rel. 18
d = 1.630 Å, rel. 13
d = 1.333 Å, rel. 10
d = 1.180 Å, rel. 11


What did the third record say?
NbS2: computed powder diffraction line list (Cu Ka), based on DFT lattice parameters and positions (GGA-PBE).

Crystal structure
a b c (Å): 3.3628 3.3628 13.2490
angles (deg): 90.00 90.00 120.00
Space group P6_3/mmc (No. 194)
One atom of each set of equivalent atoms:
Nb  0.0000  0.0000  0.2500 [2 per cell]
S  0.3333  0.6667  0.1318 [4 per cell]

Principal peaks in the range 2θ from 10° to 90°, low angle first:
d = 6.624 Å, rel. 100
d = 2.912 Å, rel. 15
d = 2.844 Å, rel. 13
d = 2.666 Å, rel. 52
d = 2.187 Å, rel. 55
d = 1.760 Å, rel. 18
d = 1.681 Å, rel. 18
d = 1.630 Å, rel. 13
d = 1.333 Å, rel. 10
d = 1.180 Å, rel. 11


Which formula does entry 2 have?
NbS2


Number 1 is which compound?
YNbRu2